Simulated PXRD pattern of Pm2CrC2N6 for Cu Kα (weighted mean of Kα1 and Kα2), from the PBE geometry in Alexandria.

Most intense lines, 2θ = 10–90°, in order of rising 2θ:
| h k l | Position (°2θ) | d_spacing | I/Imax |
| --- | --- | --- | --- |
| 1 1 -1 | 23.2 | 3.836 | 93 |
| 2 0 -2 | 30.3 | 2.948 | 31 |
| 1 1 1 | 30.7 | 2.912 | 57 |
| 3 1 -1 | 35.2 | 2.551 | 100 |
| 2 0 1 | 35.3 | 2.543 | 19 |
| 0 2 0 | 35.6 | 2.525 | 33 |
| 2 2 0 | 42.9 | 2.109 | 24 |
| 2 2 -2 | 47.4 | 1.918 | 44 |
| 2 2 1 | 51.0 | 1.791 | 30 |
| 3 1 2 | 65.2 | 1.431 | 20 |

Cell lengths 8.858, 5.050, 6.022 Å; angles 90.00, 119.97, 90.00 degrees
Space group C2/m (No. 12)
Symmetry-distinct sites (fractional):
Pm: 0.212 0.000 0.190 (multiplicity 4)
Cr: 0.000 0.000 0.500 (multiplicity 2)
C: 0.066 0.500 0.270 (multiplicity 4)
N: 0.026 0.267 0.772 (multiplicity 8)
N: 0.237 0.500 0.344 (multiplicity 4)